No. 1
Diffraction record for RbNaTbF5. The X-ray powder pattern is computed, not measured: it uses DFT lattice parameters and positions (GGA-PBE) and λ = 1.5418 Å (Cu Kα).
Kinematic intensities with the Lorentz-polarization factor, no thermal factor.

Structure:
Cell lengths 6.603, 6.603, 8.478 Å; angles 101.68, 101.68, 110.15 degrees
Sites, in units of the cell vectors:
1 Rb 0.166 0.834 0.750
2 Rb 0.834 0.166 0.250
3 Na 0.182 0.818 0.250
4 Na 0.818 0.182 0.750
5 Tb 0.500 0.500 0.000
6 Tb 0.500 0.500 0.500
7 F 0.150 0.254 0.923
8 F 0.221 0.596 0.408
9 F 0.254 0.150 0.423
10 F 0.404 0.779 0.092
11 F 0.436 0.564 0.750
12 F 0.564 0.436 0.250
13 F 0.596 0.221 0.908
14 F 0.746 0.850 0.577
15 F 0.779 0.404 0.592
16 F 0.850 0.746 0.077

Main lines, by intensity (2θ from 5° to 70°):
2θ/deg	I_rel
23.0	100
15.0	78
27.8	66
25.2	56
27.9	51
16.4	28
43.7	28
46.0	27


No. 2
Diffraction record for Tb3ZnRu. The X-ray powder pattern is computed, not measured: it uses DFT lattice parameters and positions (GGA-PBE) and λ = 1.5418 Å (Cu Kα).
Kinematic intensities with the Lorentz-polarization factor, no thermal factor.

Structure:
Cell lengths 9.212, 8.492, 5.768 Å; angles 77.91, 64.34, 37.75 degrees
Sites, in units of the cell vectors:
1 Tb 0.196 0.196 0.804
2 Tb 0.209 0.579 0.421
3 Tb 0.421 0.791 0.209
4 Tb 0.579 0.209 0.791
5 Tb 0.791 0.421 0.579
6 Tb 0.804 0.804 0.196
7 Zn 0.193 0.807 0.807
8 Zn 0.807 0.193 0.193
9 Ru 0.250 0.250 0.250
10 Ru 0.750 0.750 0.750

Main lines, by intensity (2θ from 5° to 70°):
2θ/deg	I_rel
31.8	100
33.1	86
35.6	84
36.2	60
39.2	44
35.7	41
58.1	39
40.9	39


No. 3
Diffraction record for TiRuC. The X-ray powder pattern is computed, not measured: it uses DFT lattice parameters and positions (GGA-PBE) and λ = 1.5418 Å (Cu Kα).
Kinematic intensities with the Lorentz-polarization factor, no thermal factor.

Structure:
Cell lengths 6.628, 6.219, 5.354 Å; angles 69.42, 61.45, 49.13 degrees
Sites, in units of the cell vectors:
1 Ti 0.000 0.000 0.000
2 Ti 0.000 0.000 0.500
3 Ti 0.000 0.500 0.000
4 Ti 0.500 0.000 0.000
5 Ru 0.242 0.242 0.508
6 Ru 0.492 0.492 0.758
7 Ru 0.508 0.508 0.242
8 Ru 0.758 0.758 0.492
9 C 0.189 0.561 0.189
10 C 0.439 0.811 0.439
11 C 0.561 0.189 0.561
12 C 0.811 0.439 0.811

Main lines, by intensity (2θ from 5° to 70°):
2θ/deg	I_rel
34.5	100
34.1	100
49.3	87
44.1	81
36.3	79
18.9	77
42.0	68
49.1	47